Entry 1:
Diffraction record for Tb4Er3Th2. The PXRD pattern is theoretical, not measured: it uses a crystal structure in Alexandria, relaxed with GGA-PBE and CuKα.
No peak broadening, texture or thermal motion is included.

Cell and atoms:
```
data_Tb4Er3Th2
_space_group_name_H-M_alt 'C 1 2/c 1'
_space_group_IT_number 15
_cell_length_a 16.115
_cell_length_b 11.675
_cell_length_c 6.116
_cell_angle_alpha 90.00
_cell_angle_beta 97.47
_cell_angle_gamma 90.00
loop_
_space_group_symop_operation_xyz
'x,y,z'
'-x,-y,-z'
'-x,y,-z+1/2'
'x,-y,z+1/2'
'x+1/2,y+1/2,z'
'-x+1/2,-y+1/2,-z'
'-x+1/2,y+1/2,-z+1/2'
'x+1/2,-y+1/2,z+1/2'
loop_
_atom_site_label
_atom_site_type_symbol
_atom_site_fract_x
_atom_site_fract_y
_atom_site_fract_z
_atom_site_occupancy
Tb1 Tb 0.050 0.138 0.017 1
Tb2 Tb 0.217 0.364 0.846 1
Er1 Er 0.000 0.392 0.750 1
Er2 Er 0.168 0.106 0.585 1
Th1 Th 0.112 0.361 0.313 1
```

The 10 most intense peaks (2θ from 10° to 90°), sorted by position:
Position (°2θ), d/Å, intensity
30.3, 2.953, 59.3
30.6, 2.919, 52.7
30.9, 2.898, 60.8
32.3, 2.774, 100.0
37.4, 2.402, 36.3
37.9, 2.372, 28.1
49.5, 1.841, 15.7
51.0, 1.792, 14.4
55.5, 1.656, 16.3
55.7, 1.651, 22.0

Entry 2:
Diffraction record for Tb12Er5Th. The PXRD pattern is theoretical, not measured: it uses a crystal structure in Alexandria, relaxed with GGA-PBE and CuKα.
No peak broadening, texture or thermal motion is included.

Cell and atoms:
```
data_Tb12Er5Th
_space_group_name_H-M_alt 'C m m m'
_space_group_IT_number 65
_space_group_name_Hall '-C 2 2'
_cell_length_a 15.047
_cell_length_b 15.049
_cell_length_c 5.021
_cell_angle_alpha 90.00
_cell_angle_beta 90.00
_cell_angle_gamma 90.00
loop_
_atom_site_label
_atom_site_type_symbol
_atom_site_fract_x
_atom_site_fract_y
_atom_site_fract_z
_atom_site_occupancy
Tb1 Tb 0.000 0.165 0.000 1
Tb2 Tb 0.000 0.335 0.500 1
Tb3 Tb 0.166 0.165 0.500 1
Tb4 Tb 0.166 0.334 0.000 1
Er1 Er 0.000 0.000 0.500 1
Er2 Er 0.165 0.500 0.500 1
Er3 Er 0.167 0.000 0.000 1
Th1 Th 0.000 0.500 0.000 1
```

The 9 most intense peaks (2θ from 10° to 90°), sorted by position:
Position (°2θ), d/Å, intensity
11.8, 7.524, 0.5
30.9, 2.897, 100.0
35.8, 2.509, 50.6
51.5, 1.774, 36.1
61.3, 1.513, 42.9
64.3, 1.448, 12.4
75.8, 1.254, 5.8
84.1, 1.151, 17.9
86.8, 1.122, 16.7

Entry 3:
Diffraction record for TbEr12Th7. The PXRD pattern is theoretical, not measured: it uses a crystal structure in Alexandria, relaxed with GGA-PBE and CuKα.
No peak broadening, texture or thermal motion is included.

Cell and atoms:
```
data_TbEr12Th7
_space_group_name_H-M_alt 'R -3'
_space_group_IT_number 148
_space_group_name_Hall '-R 3'
_cell_length_a 11.8832
_cell_length_b 11.8832
_cell_length_c 15.8973
_cell_angle_alpha 90.00
_cell_angle_beta 90.00
_cell_angle_gamma 120.00
loop_
_atom_site_label
_atom_site_type_symbol
_atom_site_fract_x
_atom_site_fract_y
_atom_site_fract_z
_atom_site_occupancy
Tb1 Tb 0.0000 0.0000 0.0000 1
Er1 Er 0.0223 0.5783 0.7201 1
Er2 Er 0.0494 0.4621 0.0840 1
Th1 Th 0.0000 0.0000 0.5000 1
Th2 Th 0.0549 0.8706 0.7906 1
```

The 10 most intense peaks (2θ from 10° to 90°), sorted by position:
Position (°2θ), d/Å, intensity
28.4, 3.145, 15.1
29.4, 3.038, 26.4
31.1, 2.880, 37.6
31.9, 2.809, 100.0
32.2, 2.780, 42.0
33.1, 2.705, 15.8
33.4, 2.686, 61.6
51.7, 1.770, 14.2
53.5, 1.713, 13.6
55.8, 1.648, 19.8

Entry 4:
Diffraction record for Tb5Er3Th3. The PXRD pattern is theoretical, not measured: it uses a crystal structure in Alexandria, relaxed with GGA-PBE and CuKα.
No peak broadening, texture or thermal motion is included.

Cell and atoms:
```
data_Tb5Er3Th3
_space_group_name_H-M_alt 'P -6 2 m'
_space_group_IT_number 189
_space_group_name_Hall 'P -6 -2'
_cell_length_a 11.1543
_cell_length_b 11.1543
_cell_length_c 3.4223
_cell_angle_alpha 90.00
_cell_angle_beta 90.00
_cell_angle_gamma 120.00
loop_
_atom_site_label
_atom_site_type_symbol
_atom_site_fract_x
_atom_site_fract_y
_atom_site_fract_z
_atom_site_occupancy
Tb1 Tb 0.0000 0.8386 0.0000 1
Tb2 Tb 0.3333 0.6667 0.0000 1
Er1 Er 0.0000 0.5920 0.5000 1
Th1 Th 0.0000 0.3392 0.0000 1
```

The 10 most intense peaks (2θ from 10° to 90°), sorted by position:
Position (°2θ), d/Å, intensity
26.0, 3.422, 29.2
27.7, 3.221, 100.0
30.7, 2.917, 87.8
32.1, 2.790, 57.7
33.4, 2.679, 71.8
36.0, 2.497, 54.9
41.8, 2.162, 78.5
49.0, 1.860, 36.6
63.9, 1.457, 51.1
64.7, 1.442, 32.0

Entry 5:
Diffraction record for Tb5Er12Th2. The PXRD pattern is theoretical, not measured: it uses a crystal structure in Alexandria, relaxed with GGA-PBE and CuKα.
No peak broadening, texture or thermal motion is included.

Cell and atoms:
```
data_Tb5Er12Th2
_space_group_name_H-M_alt 'P -1'
_space_group_IT_number 2
_cell_length_a 6.043
_cell_length_b 9.555
_cell_length_c 11.239
_cell_angle_alpha 69.94
_cell_angle_beta 81.98
_cell_angle_gamma 88.74
loop_
_space_group_symop_operation_xyz
'x,y,z'
'-x,-y,-z'
loop_
_atom_site_label
_atom_site_type_symbol
_atom_site_fract_x
_atom_site_fract_y
_atom_site_fract_z
_atom_site_occupancy
Tb1 Tb 0.000 0.000 0.000 1
Tb2 Tb 0.106 0.956 0.342 1
Tb3 Tb 0.491 0.552 0.831 1
Er1 Er 0.036 0.688 0.655 1
Er2 Er 0.079 0.312 0.045 1
Er3 Er 0.175 0.320 0.725 1
Er4 Er 0.380 0.911 0.786 1
Er5 Er 0.422 0.816 0.102 1
Er6 Er 0.430 0.188 0.485 1
Th1 Th 0.276 0.566 0.420 1
```

The 10 most intense peaks (2θ from 10° to 90°), sorted by position:
Position (°2θ), d/Å, intensity
28.9, 3.094, 32.0
30.9, 2.897, 60.1
31.5, 2.842, 100.0
32.1, 2.792, 73.4
32.3, 2.772, 51.5
32.6, 2.747, 56.8
33.6, 2.667, 50.3
33.9, 2.645, 67.3
36.0, 2.493, 40.4
51.0, 1.790, 25.1

Entry 6:
Diffraction record for Tb6Er3Th2. The PXRD pattern is theoretical, not measured: it uses a crystal structure in Alexandria, relaxed with GGA-PBE and CuKα.
No peak broadening, texture or thermal motion is included.

Cell and atoms:
```
data_Tb6Er3Th2
_space_group_name_H-M_alt 'P n n m'
_space_group_IT_number 58
_cell_length_a 5.961
_cell_length_b 12.449
_cell_length_c 10.052
_cell_angle_alpha 90.00
_cell_angle_beta 90.00
_cell_angle_gamma 90.00
loop_
_space_group_symop_operation_xyz
'x,y,z'
'-x,-y,-z'
'-x,-y,z'
'x,y,-z'
'x+1/2,-y+1/2,-z+1/2'
'-x+1/2,y+1/2,z+1/2'
'-x+1/2,y+1/2,-z+1/2'
'x+1/2,-y+1/2,z+1/2'
loop_
_atom_site_label
_atom_site_type_symbol
_atom_site_fract_x
_atom_site_fract_y
_atom_site_fract_z
_atom_site_occupancy
Tb1 Tb 0.180 0.203 0.000 1
Tb2 Tb 0.207 0.225 0.338 1
Er1 Er 0.000 0.000 0.179 1
Er2 Er 0.000 0.500 0.500 1
Th1 Th 0.242 0.948 0.500 1
```

The 10 most intense peaks (2θ from 10° to 90°), sorted by position:
Position (°2θ), d/Å, intensity
27.6, 3.228, 40.5
28.7, 3.112, 47.8
31.5, 2.844, 100.0
32.1, 2.785, 46.9
32.5, 2.759, 49.7
33.3, 2.688, 28.3
33.9, 2.644, 48.3
34.4, 2.607, 33.8
37.2, 2.419, 30.4
48.0, 1.895, 24.7

Entry 7:
Diffraction record for Tb5Er4Th2. The PXRD pattern is theoretical, not measured: it uses a crystal structure in Alexandria, relaxed with GGA-PBE and CuKα.
No peak broadening, texture or thermal motion is included.

Cell and atoms:
```
data_Tb5Er4Th2
_space_group_name_H-M_alt 'P 1 2/m 1'
_space_group_IT_number 10
_cell_length_a 8.749
_cell_length_b 3.485
_cell_length_c 11.703
_cell_angle_alpha 90.00
_cell_angle_beta 94.20
_cell_angle_gamma 90.00
loop_
_space_group_symop_operation_xyz
'x,y,z'
'-x,-y,-z'
'-x,y,-z'
'x,-y,z'
loop_
_atom_site_label
_atom_site_type_symbol
_atom_site_fract_x
_atom_site_fract_y
_atom_site_fract_z
_atom_site_occupancy
Tb1 Tb 0.000 0.000 0.000 1
Tb2 Tb 0.072 0.000 0.290 1
Tb3 Tb 0.305 0.000 0.839 1
Er1 Er 0.195 0.500 0.546 1
Er2 Er 0.339 0.500 0.108 1
Th1 Th 0.464 0.000 0.365 1
```

The 10 most intense peaks (2θ from 10° to 90°), sorted by position:
Position (°2θ), d/Å, intensity
28.8, 3.097, 24.4
29.9, 2.992, 20.3
31.2, 2.869, 100.0
31.6, 2.830, 63.6
31.9, 2.802, 89.5
32.9, 2.723, 30.0
34.2, 2.625, 28.2
34.6, 2.596, 19.7
62.6, 1.484, 21.5
62.8, 1.480, 18.4

Entry 8:
Diffraction record for Tb12Er2Th. The PXRD pattern is theoretical, not measured: it uses a crystal structure in Alexandria, relaxed with GGA-PBE and CuKα.
No peak broadening, texture or thermal motion is included.

Cell and atoms:
```
data_Tb12Er2Th
_space_group_name_H-M_alt 'P -1'
_space_group_IT_number 2
_cell_length_a 6.584
_cell_length_b 6.586
_cell_length_c 24.546
_cell_angle_alpha 84.51
_cell_angle_beta 84.49
_cell_angle_gamma 64.74
loop_
_space_group_symop_operation_xyz
'x,y,z'
'-x,-y,-z'
loop_
_atom_site_label
_atom_site_type_symbol
_atom_site_fract_x
_atom_site_fract_y
_atom_site_fract_z
_atom_site_occupancy
Tb1 Tb 0.043 0.046 0.297 1
Tb2 Tb 0.088 0.089 0.167 1
Tb3 Tb 0.135 0.636 0.958 1
Tb4 Tb 0.149 0.148 0.908 1
Tb5 Tb 0.217 0.216 0.634 1
Tb6 Tb 0.232 0.731 0.572 1
Tb7 Tb 0.267 0.769 0.428 1
Tb8 Tb 0.284 0.285 0.361 1
Tb9 Tb 0.353 0.354 0.088 1
Tb10 Tb 0.363 0.866 0.042 1
Tb11 Tb 0.422 0.420 0.833 1
Tb12 Tb 0.444 0.442 0.703 1
Er1 Er 0.065 0.571 0.230 1
Er2 Er 0.431 0.933 0.770 1
Th1 Th 0.251 0.250 0.499 1
```

The 10 most intense peaks (2θ from 10° to 90°), sorted by position:
Position (°2θ), d/Å, intensity
30.5, 2.929, 32.3
31.3, 2.857, 19.9
31.4, 2.848, 37.1
31.9, 2.807, 100.0
32.2, 2.781, 52.2
32.7, 2.738, 35.5
57.2, 1.610, 20.1
62.2, 1.493, 29.8
62.4, 1.489, 16.7
80.8, 1.189, 14.9

Entry 9:
Diffraction record for Tb2ErTh6. The PXRD pattern is theoretical, not measured: it uses a crystal structure in Alexandria, relaxed with GGA-PBE and CuKα.
No peak broadening, texture or thermal motion is included.

Cell and atoms:
```
data_Tb2ErTh6
_space_group_name_H-M_alt 'P -6 m 2'
_space_group_IT_number 187
_space_group_name_Hall 'P -6 2'
_cell_length_a 3.5393
_cell_length_b 3.5393
_cell_length_c 26.8952
_cell_angle_alpha 90.00
_cell_angle_beta 90.00
_cell_angle_gamma 120.00
loop_
_atom_site_label
_atom_site_type_symbol
_atom_site_fract_x
_atom_site_fract_y
_atom_site_fract_z
_atom_site_occupancy
Tb1 Tb 0.0000 0.0000 0.1710 1
Er1 Er 0.3333 0.6667 0.5000 1
Th1 Th 0.0000 0.0000 0.3910 1
Th2 Th 0.3333 0.6667 0.0617 1
Th3 Th 0.3333 0.6667 0.2818 1
```

The 10 most intense peaks (2θ from 10° to 90°), sorted by position:
Position (°2θ), d/Å, intensity
29.1, 3.065, 49.3
29.9, 2.988, 55.7
32.1, 2.789, 67.6
33.7, 2.663, 100.0
42.2, 2.140, 34.5
51.7, 1.770, 38.4
56.5, 1.628, 32.9
60.8, 1.523, 44.9
63.1, 1.474, 17.4
84.9, 1.142, 24.3

Entry 10:
Diffraction record for Tb4Er19Th6. The PXRD pattern is theoretical, not measured: it uses a crystal structure in Alexandria, relaxed with GGA-PBE and CuKα.
No peak broadening, texture or thermal motion is included.

Cell and atoms:
```
data_Tb4Er19Th6
_space_group_name_H-M_alt 'I 2 3'
_space_group_IT_number 197
_space_group_name_Hall 'I 2 2 3'
_cell_length_a 12.380
_cell_length_b 12.380
_cell_length_c 12.380
_cell_angle_alpha 90.00
_cell_angle_beta 90.00
_cell_angle_gamma 90.00
loop_
_atom_site_label
_atom_site_type_symbol
_atom_site_fract_x
_atom_site_fract_y
_atom_site_fract_z
_atom_site_occupancy
Tb1 Tb 0.178 0.178 0.178 1
Er1 Er 0.000 0.000 0.000 1
Er2 Er 0.000 0.000 0.264 1
Er3 Er 0.066 0.276 0.743 1
Th1 Th 0.000 0.129 0.500 1
```

The 10 most intense peaks (2θ from 10° to 90°), sorted by position:
Position (°2θ), d/Å, intensity
26.9, 3.309, 76.8
28.8, 3.095, 67.0
30.6, 2.918, 100.0
35.5, 2.527, 59.4
37.0, 2.428, 100.0
42.6, 2.123, 25.0
54.5, 1.685, 24.8
60.8, 1.524, 33.5
61.8, 1.501, 25.9
64.8, 1.439, 24.5

Entry 11:
Diffraction record for TbEr4Th2. The PXRD pattern is theoretical, not measured: it uses a crystal structure in Alexandria, relaxed with GGA-PBE and CuKα.
No peak broadening, texture or thermal motion is included.

Cell and atoms:
```
data_TbEr4Th2
_space_group_name_H-M_alt 'P 63/m m c'
_space_group_IT_number 194
_space_group_name_Hall '-P 6c 2c'
_cell_length_a 5.5757
_cell_length_b 5.5757
_cell_length_c 16.6480
_cell_angle_alpha 90.00
_cell_angle_beta 90.00
_cell_angle_gamma 120.00
loop_
_atom_site_label
_atom_site_type_symbol
_atom_site_fract_x
_atom_site_fract_y
_atom_site_fract_z
_atom_site_occupancy
Tb1 Tb 0.0000 0.0000 0.2500 1
Er1 Er 0.0000 0.0000 0.0000 1
Er2 Er 0.3333 0.6667 0.1476 1
Er3 Er 0.3333 0.6667 0.7500 1
Th1 Th 0.3333 0.6667 0.5566 1
```

The 10 most intense peaks (2θ from 10° to 90°), sorted by position:
Position (°2θ), d/Å, intensity
28.3, 3.153, 20.8
32.1, 2.788, 100.0
32.7, 2.741, 77.7
46.5, 1.955, 29.6
57.2, 1.610, 19.7
57.6, 1.600, 31.6
58.6, 1.575, 8.2
65.3, 1.429, 13.3
67.2, 1.394, 12.6
76.7, 1.242, 14.9

- Number 7 is which compound?
  Tb5Er4Th2